# MgInAg2
Simulated powder X-ray diffraction pattern, copper Kα. Input: DFT lattice parameters and positions (GGA-PBE).
No peak broadening, texture or thermal motion is included.

Principal peaks in the range 2θ = 10–90°, low angle first:
22.72°, I = 14.9
26.29°, I = 6.5
37.53°, I = 100.0
44.32°, I = 7.6
54.12°, I = 16.6
59.43°, I = 3.1
67.71°, I = 32.8
72.44°, I = 2.3
80.08°, I = 10.2
84.57°, I = 2.3

Crystal structure
Lattice parameters (Å, degrees): 4.7935 4.7935 4.7935 60.00 60.00 60.00
Positions (direct):
Mg 0.0000 0.0000 0.0000
In 0.5000 0.5000 0.5000
Ag 0.2500 0.2500 0.2500
Ag 0.7500 0.7500 0.7500

# MnInAgPd
Simulated powder X-ray diffraction pattern, copper Kα. Input: DFT lattice parameters and positions (GGA-PBE).
No peak broadening, texture or thermal motion is included.

Principal peaks in the range 2θ = 10–90°, low angle first:
23.61°, I = 5.8
27.33°, I = 1.9
39.04°, I = 100.0
46.13°, I = 3.0
56.40°, I = 16.3
61.99°, I = 1.3
70.72°, I = 32.3
75.73°, I = 1.0
83.87°, I = 10.2
88.67°, I = 1.0

Crystal structure
Lattice parameters (Å, degrees): 4.6145 4.6145 4.6145 60.00 60.00 60.00
Positions (direct):
Mn 0.0000 0.0000 0.0000
In 0.5000 0.5000 0.5000
Ag 0.2500 0.2500 0.2500
Pd 0.7500 0.7500 0.7500

# Mn2InAgTe4
Simulated powder X-ray diffraction pattern, copper Kα. Input: DFT lattice parameters and positions (GGA-PBE).
No peak broadening, texture or thermal motion is included.

Principal peaks in the range 2θ = 10–90°, low angle first:
23.93°, I = 100.0
39.42°, I = 25.7
39.66°, I = 50.0
46.64°, I = 32.4
47.06°, I = 15.3
56.97°, I = 8.5
63.02°, I = 12.5
71.65°, I = 16.6
72.13°, I = 7.8
76.61°, I = 7.2

Crystal structure
Lattice parameters (Å, degrees): 7.8577 7.8577 7.8577 131.41 131.41 71.16
Positions (direct):
Mn 0.2500 0.7500 0.5000
Mn 0.7500 0.2500 0.5000
In 0.0000 0.0000 0.0000
Ag 0.5000 0.5000 0.0000
Te 0.1213 0.1213 0.5043
Te 0.3830 0.8787 0.0000
Te 0.6170 0.6170 0.4957
Te 0.8787 0.3830 0.0000

# Na3In2Ag
Simulated powder X-ray diffraction pattern, copper Kα. Input: DFT lattice parameters and positions (GGA-PBE).
No peak broadening, texture or thermal motion is included.

Principal peaks in the range 2θ = 10–90°, low angle first:
11.08°, I = 100.0
25.77°, I = 18.4
33.68°, I = 68.4
36.76°, I = 22.9
38.51°, I = 14.1
39.08°, I = 20.6
42.88°, I = 11.6
56.46°, I = 12.4
67.38°, I = 15.6
70.81°, I = 10.6

Crystal structure
Lattice parameters (Å, degrees): 9.7785 9.7785 9.7785 60.00 60.00 60.00
Positions (direct):
Na 0.0781 0.0781 0.6719
Na 0.0781 0.6719 0.0781
Na 0.0781 0.6719 0.6719
Na 0.3281 0.3281 0.9219
Na 0.3281 0.9219 0.3281
Na 0.3281 0.9219 0.9219
Na 0.6719 0.0781 0.0781
Na 0.6719 0.0781 0.6719
Na 0.6719 0.6719 0.0781
Na 0.9219 0.3281 0.3281
Na 0.9219 0.3281 0.9219
Na 0.9219 0.9219 0.3281
In 0.2923 0.2923 0.2923
In 0.2923 0.2923 0.6231
In 0.2923 0.6231 0.2923
In 0.3769 0.7077 0.7077
In 0.6231 0.2923 0.2923
In 0.7077 0.3769 0.7077
In 0.7077 0.7077 0.3769
In 0.7077 0.7077 0.7077
Ag 0.0000 0.5000 0.5000
Ag 0.5000 0.0000 0.5000
Ag 0.5000 0.5000 0.0000
Ag 0.5000 0.5000 0.5000

# NdInAg2
Simulated powder X-ray diffraction pattern, copper Kα. Input: DFT lattice parameters and positions (GGA-PBE).
No peak broadening, texture or thermal motion is included.

Principal peaks in the range 2θ = 10–90°, low angle first:
21.51°, I = 0.7
24.89°, I = 0.7
35.48°, I = 100.0
51.06°, I = 17.2
63.72°, I = 34.6
75.10°, I = 10.6
85.91°, I = 15.2

Crystal structure
Lattice parameters (Å, degrees): 5.0596 5.0596 5.0596 60.00 60.00 60.00
Positions (direct):
Nd 0.0000 0.0000 0.0000
In 0.5000 0.5000 0.5000
Ag 0.2500 0.2500 0.2500
Ag 0.7500 0.7500 0.7500

# In2Ag3P3O12
Simulated powder X-ray diffraction pattern, copper Kα. Input: DFT lattice parameters and positions (GGA-PBE).
No peak broadening, texture or thermal motion is included.

Principal peaks in the range 2θ = 10–90°, low angle first:
20.08°, I = 23.1
21.05°, I = 22.3
29.52°, I = 45.1
30.49°, I = 61.4
31.27°, I = 100.0
33.82°, I = 32.9
33.93°, I = 56.4
43.04°, I = 22.1
49.31°, I = 26.0
57.45°, I = 20.4

Crystal structure
Lattice parameters (Å, degrees): 9.1825 9.1825 6.7221 106.71 106.71 91.09
Positions (direct):
In 0.0726 0.3856 0.1537
In 0.3856 0.0726 0.6537
In 0.6144 0.9274 0.3463
In 0.9274 0.6144 0.8463
Ag 0.0009 0.9991 0.7500
Ag 0.2769 0.7231 0.7500
Ag 0.5000 0.5000 0.0000
Ag 0.5000 0.5000 0.5000
Ag 0.7231 0.2769 0.2500
Ag 0.9991 0.0009 0.2500
P 0.1413 0.3438 0.6390
P 0.2683 0.7317 0.2500
P 0.3438 0.1413 0.1390
P 0.6562 0.8587 0.8610
P 0.7317 0.2683 0.7500
P 0.8587 0.6562 0.3610
O 0.0187 0.3391 0.4209
O 0.0698 0.4110 0.8287
O 0.1451 0.7484 0.0448
O 0.1703 0.1733 0.6288
O 0.1733 0.1703 0.1288
O 0.2508 0.5711 0.2810
O 0.2516 0.8549 0.4552
O 0.2897 0.4393 0.6742
O 0.3391 0.0187 0.9209
O 0.4110 0.0698 0.3287
O 0.4289 0.7492 0.2190
O 0.4393 0.2897 0.1742
O 0.5607 0.7103 0.8258
O 0.5711 0.2508 0.7810
O 0.5890 0.9302 0.6713
O 0.6609 0.9813 0.0791
O 0.7103 0.5607 0.3258
O 0.7484 0.1451 0.5448
O 0.7492 0.4289 0.7190
O 0.8267 0.8297 0.8712
O 0.8297 0.8267 0.3712
O 0.8549 0.2516 0.9552
O 0.9302 0.5890 0.1713
O 0.9813 0.6609 0.5791

# InAgP2S6
Simulated powder X-ray diffraction pattern, copper Kα. Input: DFT lattice parameters and positions (GGA-PBE).
No peak broadening, texture or thermal motion is included.

Principal peaks in the range 2θ = 10–90°, low angle first:
12.32°, I = 100.0
24.80°, I = 16.0
28.52°, I = 19.2
31.17°, I = 77.3
35.35°, I = 14.9
38.14°, I = 45.0
47.82°, I = 14.8
50.51°, I = 21.9
52.20°, I = 14.0
65.01°, I = 10.5

Crystal structure
Lattice parameters (Å, degrees): 6.2592 6.2592 14.3700 90.00 90.00 120.00
Positions (direct):
In 0.0000 0.0000 0.2500
In 0.0000 0.0000 0.7500
Ag 0.3333 0.6667 0.2500
Ag 0.6667 0.3333 0.7500
P 0.3333 0.6667 0.6713
P 0.3333 0.6667 0.8287
P 0.6667 0.3333 0.1713
P 0.6667 0.3333 0.3287
S 0.0286 0.3459 0.8686
S 0.0286 0.6827 0.6314
S 0.3173 0.3459 0.6314
S 0.3173 0.9714 0.8686
S 0.3459 0.0286 0.3686
S 0.3459 0.3173 0.1314
S 0.6541 0.6827 0.8686
S 0.6541 0.9714 0.6314
S 0.6827 0.0286 0.1314
S 0.6827 0.6541 0.3686
S 0.9714 0.3173 0.3686
S 0.9714 0.6541 0.1314

# InAgP2Se6
Simulated powder X-ray diffraction pattern, copper Kα. Input: DFT lattice parameters and positions (GGA-PBE).
No peak broadening, texture or thermal motion is included.

Principal peaks in the range 2θ = 10–90°, low angle first:
12.20°, I = 45.1
24.12°, I = 9.0
29.78°, I = 100.0
36.85°, I = 46.7
46.59°, I = 26.5
47.82°, I = 31.6
57.36°, I = 14.3
61.86°, I = 9.5
71.93°, I = 13.6
77.83°, I = 11.1

Crystal structure
Lattice parameters (Å, degrees): 6.5887 6.5887 14.5109 90.00 90.00 120.00
Positions (direct):
In 0.0000 0.0000 0.2500
In 0.0000 0.0000 0.7500
Ag 0.3333 0.6667 0.2500
Ag 0.6667 0.3333 0.7500
P 0.3333 0.6667 0.6713
P 0.3333 0.6667 0.8287
P 0.6667 0.3333 0.1713
P 0.6667 0.3333 0.3287
Se 0.0181 0.3387 0.8731
Se 0.0181 0.6794 0.6269
Se 0.3206 0.3387 0.6269
Se 0.3206 0.9819 0.8731
Se 0.3387 0.0181 0.3731
Se 0.3387 0.3206 0.1269
Se 0.6613 0.6794 0.8731
Se 0.6613 0.9819 0.6269
Se 0.6794 0.0181 0.1269
Se 0.6794 0.6613 0.3731
Se 0.9819 0.3206 0.3731
Se 0.9819 0.6613 0.1269

# Pm2InAg
Simulated powder X-ray diffraction pattern, copper Kα. Input: DFT lattice parameters and positions (GGA-PBE).
No peak broadening, texture or thermal motion is included.

Principal peaks in the range 2θ = 10–90°, low angle first:
23.32°, I = 1.8
33.22°, I = 100.0
40.98°, I = 0.6
47.68°, I = 17.9
53.73°, I = 0.9
59.35°, I = 36.8
69.73°, I = 11.3
79.45°, I = 15.7
88.87°, I = 4.1

Crystal structure
Lattice parameters (Å, degrees): 5.3945 5.3945 5.3945 60.00 60.00 60.00
Positions (direct):
Pm 0.2500 0.2500 0.2500
Pm 0.7500 0.7500 0.7500
In 0.0000 0.0000 0.0000
Ag 0.5000 0.5000 0.5000

# Pr2InAg
Simulated powder X-ray diffraction pattern, copper Kα. Input: DFT lattice parameters and positions (GGA-PBE).
No peak broadening, texture or thermal motion is included.

Principal peaks in the range 2θ = 10–90°, low angle first:
32.71°, I = 100.0
33.23°, I = 48.2
46.15°, I = 9.3
47.71°, I = 17.2
58.05°, I = 18.5
59.05°, I = 35.7
68.55°, I = 11.1
76.88°, I = 7.8
79.21°, I = 7.5
79.50°, I = 7.5

Crystal structure
Lattice parameters (Å, degrees): 3.8124 3.8124 7.8681 90.00 90.00 90.00
Positions (direct):
Pr 0.0000 0.0000 0.2419
Pr 0.0000 0.0000 0.7581
In 0.5000 0.5000 0.5000
Ag 0.5000 0.5000 0.0000

# Pr2InAg
Simulated powder X-ray diffraction pattern, copper Kα. Input: DFT lattice parameters and positions (GGA-PBE).
No peak broadening, texture or thermal motion is included.

Principal peaks in the range 2θ = 10–90°, low angle first:
23.01°, I = 1.3
32.77°, I = 100.0
47.02°, I = 18.0
52.97°, I = 0.7
58.49°, I = 37.0
68.69°, I = 11.3
78.21°, I = 15.7
87.41°, I = 4.0

Crystal structure
Lattice parameters (Å, degrees): 5.4660 5.4660 5.4660 60.00 60.00 60.00
Positions (direct):
Pr 0.2500 0.2500 0.2500
Pr 0.7500 0.7500 0.7500
In 0.0000 0.0000 0.0000
Ag 0.5000 0.5000 0.5000

# InAgS2
Simulated powder X-ray diffraction pattern, copper Kα. Input: DFT lattice parameters and positions (GGA-PBE).
No peak broadening, texture or thermal motion is included.

Principal peaks in the range 2θ = 10–90°, low angle first:
22.51°, I = 99.6
28.00°, I = 100.0
33.22°, I = 47.6
39.51°, I = 87.1
40.50°, I = 40.6
49.12°, I = 21.9
52.55°, I = 72.4
64.79°, I = 18.5
81.32°, I = 19.8
83.24°, I = 18.6

Crystal structure
Lattice parameters (Å, degrees): 4.5612 4.5612 5.3938 90.00 90.00 120.00
Positions (direct):
In 0.0000 0.0000 0.0000
Ag 0.3333 0.6667 0.5073
S 0.0000 0.0000 0.5066
S 0.3333 0.6667 0.0106